# 1
The following is a computed powder XRD pattern of KMgNiIO6. It was derived from a structure optimized by DFT (GGA+U), using Cu Kα (weighted mean of Kα1 and Kα2).
Lines closer than 0.1° are merged.

Principal peaks in the range 10° ≤ 2θ ≤ 80°, sorted by position:
two_theta, d (Å), I/Imax, (hkl)
16.28, 5.443, 55, 0 0 1
18.84, 4.711, 89, 1 0 0
25.00, 3.562, 100, 1 0 1
32.93, 2.720, 77, 1 1 0
36.95, 2.433, 36, 2 -1 1
47.25, 1.924, 82, 2 -1 2

Atomic structure:
```
data_KMgNiIO6
_space_group_name_H-M_alt 'P 3 1 2'
_space_group_IT_number 149
_cell_length_a 5.4394
_cell_length_b 5.4394
_cell_length_c 5.4435
_cell_angle_alpha 90.00
_cell_angle_beta 90.00
_cell_angle_gamma 120.00
loop_
_space_group_symop_operation_xyz
'x,y,z'
'-y,x-y,z'
'-x+y,-x,z'
'-y,-x,-z'
'-x+y,y,-z'
'x,x-y,-z'
loop_
_atom_site_label
_atom_site_fract_x
_atom_site_fract_y
_atom_site_fract_z
_atom_site_occupancy
K1 0.0000 0.0000 0.0000 1
Mg1 0.6667 0.3333 0.0000 1
Ni1 0.3333 0.6667 0.5000 1
I1 0.6667 0.3333 0.5000 1
O1 0.4158 0.0349 0.7156 1
```

# 2
The following is a computed powder XRD pattern of LiFeO3. It was derived from a structure optimized by DFT (GGA+U), using Cu Kα (weighted mean of Kα1 and Kα2).
Lines closer than 0.1° are merged.

Principal peaks in the range 10° ≤ 2θ ≤ 80°, sorted by position:
two_theta, d (Å), I/Imax, (hkl)
23.56, 3.777, 100, 1 0 0
33.56, 2.671, 34, 1 1 0
48.19, 1.888, 31, 2 0 0
54.31, 1.689, 33, 2 1 0
70.52, 1.335, 16, 2 2 0
75.52, 1.259, 13, 3 0 0

Atomic structure:
```
data_LiFeO3
_space_group_name_H-M_alt 'P m -3 m'
_space_group_IT_number 221
_space_group_name_Hall '-P 4 2 3'
_cell_length_a 3.7769
_cell_length_b 3.7769
_cell_length_c 3.7769
_cell_angle_alpha 90.00
_cell_angle_beta 90.00
_cell_angle_gamma 90.00
loop_
_atom_site_label
_atom_site_fract_x
_atom_site_fract_y
_atom_site_fract_z
_atom_site_occupancy
Li1 0.0000 0.0000 0.0000 1
Fe1 0.5000 0.5000 0.5000 1
O1 0.0000 0.5000 0.5000 1
```

# 3
The following is a computed powder XRD pattern of FeO2. It was derived from a structure optimized by DFT (GGA+U), using Cu Kα (weighted mean of Kα1 and Kα2).
Lines closer than 0.1° are merged.

Principal peaks in the range 10° ≤ 2θ ≤ 80°, sorted by position:
two_theta, d (Å), I/Imax, (hkl)
18.21, 4.873, 68, 1 1 1
18.33, 4.840, 100, 0 0 3
42.44, 2.130, 32, 0 2 4
42.94, 2.106, 30, 2 0 4
43.59, 2.076, 28, 2 2 -4
61.96, 1.498, 20, 2 -2 0

Atomic structure:
```
data_FeO2
_space_group_name_H-M_alt 'P 1'
_space_group_IT_number 1
_cell_length_a 5.9399
_cell_length_b 5.9731
_cell_length_c 14.5009
_cell_angle_alpha 88.61
_cell_angle_beta 89.15
_cell_angle_gamma 60.39
loop_
_space_group_symop_operation_xyz
'x,y,z'
loop_
_atom_site_label
_atom_site_fract_x
_atom_site_fract_y
_atom_site_fract_z
_atom_site_occupancy
Fe1 0.0000 0.0000 0.0000 1
Fe2 0.0005 0.4859 0.0010 1
Fe3 0.1667 0.6535 0.1654 1
Fe4 0.1679 0.1591 0.6657 1
Fe5 0.1720 0.6572 0.7867 1
Fe6 0.3346 0.8285 0.3317 1
Fe7 0.3366 0.3268 0.3313 1
Fe8 0.5036 0.9994 0.4975 1
Fe9 0.5162 0.4818 0.0003 1
Fe10 0.6684 0.6594 0.6649 1
Fe11 0.6689 0.1598 0.6659 1
Fe12 0.8352 0.8315 0.3322 1
O1 0.0054 0.4956 0.7340 1
O2 0.0066 0.9899 0.7335 1
O3 0.0111 0.9582 0.2581 1
O4 0.0183 0.5180 0.2496 1
O5 0.1391 0.1718 0.9393 1
O6 0.1790 0.6548 0.3996 1
O7 0.1804 0.6616 0.9206 1
O8 0.2153 0.1526 0.4112 1
O9 0.3096 0.7940 0.0780 1
O10 0.3155 0.3629 0.0711 1
O11 0.3574 0.2782 0.5790 1
O12 0.3611 0.8546 0.5759 1
O13 0.4605 0.4990 0.2519 1
O14 0.4932 0.9908 0.7337 1
O15 0.4937 0.9982 0.2631 1
O16 0.5022 0.4939 0.7320 1
O17 0.6502 0.1366 0.4139 1
O18 0.6548 0.7085 0.4094 1
O19 0.6783 0.6313 0.9407 1
O20 0.6824 0.1810 0.9365 1
O21 0.7833 0.8530 0.5789 1
O22 0.8146 0.3221 0.0780 1
O23 0.8454 0.3280 0.6007 1
O24 0.8828 0.7999 0.0746 1
```

# 4
The following is a computed powder XRD pattern of MnBiAsO5. It was derived from a structure optimized by DFT (GGA+U), using Cu Kα (weighted mean of Kα1 and Kα2).
Lines closer than 0.1° are merged.

Principal peaks in the range 10° ≤ 2θ ≤ 80°, sorted by position:
two_theta, d (Å), I/Imax, (hkl)
14.53, 6.096, 36, 0 1 0
27.06, 3.295, 53, 1 1 0
27.74, 3.216, 100, 1 -2 0
29.01, 3.078, 29, 1 0 -2
31.54, 2.837, 29, 0 2 -2
32.18, 2.781, 28, 1 -1 2

Atomic structure:
```
data_MnBiAsO5
_space_group_name_H-M_alt 'P -1'
_space_group_IT_number 2
_cell_length_a 5.4744
_cell_length_b 7.0110
_cell_length_c 7.0351
_cell_angle_alpha 109.34
_cell_angle_beta 96.68
_cell_angle_gamma 108.99
loop_
_space_group_symop_operation_xyz
'x,y,z'
'-x,-y,-z'
loop_
_atom_site_label
_atom_site_fract_x
_atom_site_fract_y
_atom_site_fract_z
_atom_site_occupancy
Mn1 0.1730 0.2832 0.1328 1
Bi1 0.4082 0.9719 0.7448 1
As1 0.1504 0.3812 0.6776 1
O1 0.0685 0.2081 0.4169 1
O2 0.1330 0.5923 0.2603 1
O3 0.2353 0.9533 0.9989 1
O4 0.2772 0.2742 0.8365 1
O5 0.4064 0.6258 0.7179 1
```

# 5
The following is a computed powder XRD pattern of Fe5O7F3. It was derived from a structure optimized by DFT (GGA+U), using Cu Kα (weighted mean of Kα1 and Kα2).
Lines closer than 0.1° are merged.

Principal peaks in the range 10° ≤ 2θ ≤ 80°, sorted by position:
two_theta, d (Å), I/Imax, (hkl)
26.68, 3.341, 100, 1 1 0
27.45, 3.249, 98, 1 -1 0
35.05, 2.560, 53, 1 0 5
35.18, 2.551, 55, 1 0 -5
52.91, 1.730, 31, 2 1 -5
53.61, 1.710, 42, 1 -2 5

Atomic structure:
```
data_Fe5O7F3
_space_group_name_H-M_alt 'P 1'
_space_group_IT_number 1
_cell_length_a 4.6579
_cell_length_b 4.6637
_cell_length_c 15.2814
_cell_angle_alpha 89.82
_cell_angle_beta 89.71
_cell_angle_gamma 88.40
loop_
_space_group_symop_operation_xyz
'x,y,z'
loop_
_atom_site_label
_atom_site_fract_x
_atom_site_fract_y
_atom_site_fract_z
_atom_site_occupancy
Fe1 0.0000 0.0000 0.0000 1
Fe2 0.0012 0.9613 0.5967 1
Fe3 0.0142 0.9739 0.4057 1
Fe4 0.4569 0.4718 0.2935 1
Fe5 0.4637 0.4636 0.9005 1
Fe6 0.4701 0.4707 0.0984 1
Fe7 0.4721 0.5015 0.5008 1
Fe8 0.5100 0.5242 0.7072 1
Fe9 0.9854 0.9903 0.8003 1
Fe10 0.9988 0.0048 0.2001 1
O1 0.1683 0.1714 0.8966 1
O2 0.1721 0.1771 0.0981 1
O3 0.1751 0.1676 0.3022 1
O4 0.1923 0.1794 0.5029 1
O5 0.2845 0.6803 0.1949 1
O6 0.2875 0.6875 0.8045 1
O7 0.2895 0.6752 0.9992 1
O8 0.2964 0.6647 0.3964 1
O9 0.3126 0.6791 0.6051 1
O10 0.6742 0.2901 0.9994 1
O11 0.6753 0.2899 0.1970 1
O12 0.6842 0.2930 0.8028 1
O13 0.7958 0.7825 0.4991 1
O14 0.8117 0.8074 0.7033 1
F1 0.1948 0.1912 0.7010 1
F2 0.6864 0.2793 0.3977 1
F3 0.6968 0.2909 0.6034 1
F4 0.7838 0.7875 0.9013 1
F5 0.7853 0.7816 0.2989 1
F6 0.7867 0.7894 0.0990 1
```

# 6
The following is a computed powder XRD pattern of SrLiLa7Co2O16. It was derived from a structure optimized by DFT (GGA+U), using Cu Kα (weighted mean of Kα1 and Kα2).
Lines closer than 0.1° are merged.

Principal peaks in the range 10° ≤ 2θ ≤ 80°, sorted by position:
two_theta, d (Å), I/Imax, (hkl)
24.53, 3.628, 61, 1 -2 0
31.69, 2.823, 100, 1 2 0
33.38, 2.684, 39, 0 2 -2
33.56, 2.670, 39, -1 2 2
44.16, 2.051, 28, 2 2 -2
48.06, 1.893, 40, 1 0 -4

Atomic structure:
```
data_SrLiLa7Co2O16
_space_group_name_H-M_alt 'P 1'
_space_group_IT_number 1
_cell_length_a 6.8929
_cell_length_b 7.5707
_cell_length_c 7.5732
_cell_angle_alpha 90.30
_cell_angle_beta 105.83
_cell_angle_gamma 105.84
loop_
_space_group_symop_operation_xyz
'x,y,z'
loop_
_atom_site_label
_atom_site_fract_x
_atom_site_fract_y
_atom_site_fract_z
_atom_site_occupancy
Sr1 0.0000 0.0000 0.0000 1
Li1 0.2731 0.8151 0.3209 1
La1 0.0013 0.0017 0.5100 1
La2 0.0038 0.4922 0.5085 1
La3 0.0129 0.4927 0.0010 1
La4 0.5390 0.1362 0.1313 1
La5 0.5459 0.1371 0.6426 1
La6 0.5499 0.6290 0.6467 1
La7 0.5581 0.6316 0.1401 1
Co1 0.2791 0.8151 0.8228 1
Co2 0.2799 0.3165 0.3238 1
O1 0.2794 0.3209 0.5659 1
O2 0.2786 0.8114 0.5794 1
O3 0.2803 0.5730 0.8184 1
O4 0.2807 0.0574 0.8243 1
O5 0.2824 0.0741 0.3242 1
O6 0.2824 0.5602 0.3279 1
O7 0.2831 0.8161 0.0668 1
O8 0.2854 0.3168 0.0835 1
O9 0.5938 0.8930 0.9010 1
O10 0.6000 0.3970 0.4043 1
O11 0.6415 0.9042 0.4154 1
O12 0.6557 0.4114 0.9164 1
O13 0.9004 0.2335 0.7142 1
O14 0.9161 0.7143 0.2439 1
O15 0.9508 0.7290 0.7364 1
O16 0.9536 0.2392 0.2464 1
```

Number 5 is which compound? Fe5O7F3